The following is a simulated powder diffractogram of MgH8C2S2N2O4. It was derived from a structure optimized by DFT (GGA-PBE), using copper Kα.
Peak positions follow from Bragg's law for the DFT cell and can differ from measured ones.

Top 10 peaks for 2θ = 10–90°, low angle first:
- (0 1 1), d 5.478, 16.18 deg, intensity 15.2
- (0 2 0), d 4.546, 19.53 deg, intensity 21.0
- (1 0 -2), d 3.788, 23.48 deg, intensity 100.0
- (1 2 -1), d 3.738, 23.80 deg, intensity 21.3
- (2 1 -1), d 3.636, 24.49 deg, intensity 49.3
- (0 1 2), d 3.211, 27.78 deg, intensity 42.3
- (2 1 -2), d 3.089, 28.90 deg, intensity 31.6
- (2 1 1), d 2.629, 34.11 deg, intensity 22.8
- (2 3 0), d 2.320, 38.81 deg, intensity 21.6
- (0 1 3), d 2.220, 40.64 deg, intensity 28.7

Atomic structure:
a = 7.9792 Å, b = 9.0925 Å, c = 7.5930 Å
α = 90.00°, β = 115.31°, γ = 90.00°
Space group P2_1/c (No. 14)
Unique sites:
Mg1 0.0000 0.0000 0.0000 [2 per cell]
H1 0.1241 0.1942 0.3200 [4 per cell]
H2 0.2085 0.0375 0.3925 [4 per cell]
H3 0.2462 0.0576 0.8446 [4 per cell]
H4 0.3252 0.1205 0.0549 [4 per cell]
C1 0.2690 0.7092 0.1408 [4 per cell]
S1 0.3965 0.5606 0.1892 [4 per cell]
N1 0.1765 0.6839 0.6028 [4 per cell]
O1 0.1152 0.0904 0.2796 [4 per cell]
O2 0.2082 0.1138 0.9341 [4 per cell]